# La6Ag5Sn
Theoretical PXRD pattern, Cu Kα (λ = 1.5418 Å). Input: a structure optimized by DFT (PBE).
Peak positions follow from Bragg's law for the DFT cell and can differ from measured ones.

Peak list (8 most intense, 10 to 90 degrees two-theta, sorted by position)
32.83°, intensity 100
33.05°, intensity 49
46.79°, intensity 9
47.43°, intensity 18
58.47°, intensity 19
58.88°, intensity 36
68.83°, intensity 11
78.88°, intensity 12

Atomic structure:
```
La6Ag5Sn
1.0
-2.708 3.883 8.139
2.708 -3.883 8.139
2.708 3.883 -8.139
La Ag Sn
6 5 1
direct
0.080 0.332 0.748
0.245 0.000 0.245
0.416 0.668 0.748
0.584 0.332 0.252
0.755 0.000 0.755
0.920 0.668 0.252
0.000 0.500 0.500
0.167 0.167 0.000
0.335 0.835 0.500
0.665 0.165 0.500
0.833 0.833 0.000
0.500 0.500 0.000
```

***

# LaAgSn2
Theoretical PXRD pattern, Cu Kα (λ = 1.5418 Å). Input: a structure optimized by DFT (PBE).
Peak positions follow from Bragg's law for the DFT cell and can differ from measured ones.

Peak list (8 most intense, 10 to 90 degrees two-theta, sorted by position)
32.81°, intensity 100
35.88°, intensity 12
39.13°, intensity 37
49.65°, intensity 6
54.13°, intensity 15
56.53°, intensity 13
66.93°, intensity 26
68.77°, intensity 11

Atomic structure:
```
LaAgSn2
1.0
4.605 0.000 0.000
0.000 4.605 0.000
0.000 0.000 10.011
La Ag Sn
2 2 4
direct
0.250 0.250 0.244
0.750 0.750 0.756
0.250 0.750 0.000
0.750 0.250 0.000
0.250 0.250 0.818
0.250 0.750 0.500
0.750 0.250 0.500
0.750 0.750 0.182
```

***

# LaAg4Sn2
Theoretical PXRD pattern, Cu Kα (λ = 1.5418 Å). Input: a structure optimized by DFT (PBE).
Peak positions follow from Bragg's law for the DFT cell and can differ from measured ones.

Peak list (8 most intense, 10 to 90 degrees two-theta, sorted by position)
30.37°, intensity 25
30.87°, intensity 99
34.05°, intensity 44
36.20°, intensity 79
39.07°, intensity 55
39.41°, intensity 100
44.89°, intensity 32
60.99°, intensity 24

Atomic structure:
```
LaAg4Sn2
1.0
8.325 0.000 0.000
0.000 8.325 0.000
0.000 0.000 4.611
La Ag Sn
2 8 4
direct
0.000 0.000 0.000
0.500 0.500 0.500
0.096 0.352 0.500
0.148 0.596 0.000
0.352 0.096 0.500
0.404 0.852 0.000
0.596 0.148 0.000
0.648 0.904 0.500
0.852 0.404 0.000
0.904 0.648 0.500
0.214 0.786 0.500
0.286 0.286 0.000
0.714 0.714 0.000
0.786 0.214 0.500
```

***

# LaAgSnTe3
Theoretical PXRD pattern, Cu Kα (λ = 1.5418 Å). Input: a structure optimized by DFT (PBE).
Peak positions follow from Bragg's law for the DFT cell and can differ from measured ones.

Peak list (8 most intense, 10 to 90 degrees two-theta, sorted by position)
27.76°, intensity 43
28.37°, intensity 100
28.64°, intensity 42
34.49°, intensity 41
34.61°, intensity 24
37.26°, intensity 28
39.15°, intensity 29
41.20°, intensity 35

Atomic structure:
```
LaAgSnTe3
1.0
9.213 0.000 0.000
0.000 4.382 0.000
-1.889 0.000 9.642
La Ag Sn Te
2 2 2 6
direct
0.170 0.250 0.238
0.830 0.750 0.762
0.079 0.250 0.580
0.921 0.750 0.420
0.339 0.750 0.843
0.661 0.250 0.157
0.094 0.250 0.876
0.245 0.750 0.494
0.409 0.750 0.160
0.591 0.250 0.840
0.755 0.250 0.506
0.906 0.750 0.124
```

***

# SrLa2Tl2Ag2
Theoretical PXRD pattern, Cu Kα (λ = 1.5418 Å). Input: a structure optimized by DFT (PBE).
Peak positions follow from Bragg's law for the DFT cell and can differ from measured ones.

Peak list (8 most intense, 10 to 90 degrees two-theta, sorted by position)
18.60°, intensity 24
30.09°, intensity 96
32.49°, intensity 30
36.01°, intensity 100
37.70°, intensity 20
40.83°, intensity 20
47.62°, intensity 31
61.13°, intensity 38

Atomic structure:
```
SrLa2Tl2Ag2
1.0
2.494 1.440 9.541
-2.494 1.440 9.541
0.000 -2.880 9.541
Sr La Tl Ag
1 2 2 2
direct
0.000 0.000 0.000
0.138 0.138 0.138
0.862 0.862 0.862
0.261 0.261 0.261
0.739 0.739 0.739
0.424 0.424 0.424
0.576 0.576 0.576
```

***

# La2ZrTaAg
Theoretical PXRD pattern, Cu Kα (λ = 1.5418 Å). Input: a structure optimized by DFT (PBE).
Peak positions follow from Bragg's law for the DFT cell and can differ from measured ones.

Peak list (8 most intense, 10 to 90 degrees two-theta, sorted by position)
15.92°, intensity 41
28.47°, intensity 100
32.17°, intensity 84
34.61°, intensity 35
46.13°, intensity 31
47.96°, intensity 55
55.11°, intensity 32
58.93°, intensity 29

Atomic structure:
```
La2ZrTaAg
1.0
5.566 0.000 0.000
0.000 5.566 0.000
0.000 0.000 5.184
La Zr Ta Ag
2 1 1 1
direct
0.000 0.500 0.000
0.500 0.000 0.000
0.000 0.000 0.500
0.500 0.500 0.500
0.500 0.500 0.000
```

***

# La6TbAg
Theoretical PXRD pattern, Cu Kα (λ = 1.5418 Å). Input: a structure optimized by DFT (PBE).
Peak positions follow from Bragg's law for the DFT cell and can differ from measured ones.

Peak list (8 most intense, 10 to 90 degrees two-theta, sorted by position)
21.62°, intensity 31
23.51°, intensity 28
28.54°, intensity 100
28.67°, intensity 51
31.14°, intensity 30
35.21°, intensity 34
35.32°, intensity 29
45.77°, intensity 27

Atomic structure:
```
La6TbAg
1.0
6.844 0.000 0.000
-3.397 5.950 0.000
-3.373 -1.979 7.568
La Tb Ag
6 1 1
direct
0.024 0.063 0.239
0.277 0.717 0.240
0.318 0.534 0.761
0.682 0.466 0.239
0.723 0.283 0.760
0.976 0.937 0.761
0.500 0.000 0.000
0.500 0.500 0.500
```

***

# La5TbAg6
Theoretical PXRD pattern, Cu Kα (λ = 1.5418 Å). Input: a structure optimized by DFT (PBE).
Peak positions follow from Bragg's law for the DFT cell and can differ from measured ones.

Peak list (8 most intense, 10 to 90 degrees two-theta, sorted by position)
33.20°, intensity 51
33.46°, intensity 100
47.55°, intensity 9
47.78°, intensity 9
59.37°, intensity 9
59.49°, intensity 18
59.60°, intensity 9
59.97°, intensity 18

Atomic structure:
```
La5TbAg6
1.0
5.391 0.000 0.000
0.000 7.521 0.000
-2.659 0.000 8.102
La Tb Ag
5 1 6
direct
0.000 0.000 0.000
0.331 0.000 0.661
0.334 0.500 0.668
0.666 0.500 0.332
0.669 0.000 0.339
0.000 0.500 0.000
0.161 0.258 0.322
0.161 0.742 0.322
0.500 0.263 0.000
0.500 0.737 0.000
0.839 0.258 0.678
0.839 0.742 0.678
```

***

# LaTcAg2
Theoretical PXRD pattern, Cu Kα (λ = 1.5418 Å). Input: a structure optimized by DFT (PBE).
Peak positions follow from Bragg's law for the DFT cell and can differ from measured ones.

Peak list (8 most intense, 10 to 90 degrees two-theta, sorted by position)
33.54°, intensity 29
37.39°, intensity 100
38.95°, intensity 23
52.33°, intensity 16
55.47°, intensity 8
62.52°, intensity 14
69.52°, intensity 15
79.74°, intensity 9

Atomic structure:
```
LaTcAg2
1.0
-1.657 2.312 5.343
1.657 -2.312 5.343
1.657 2.312 -5.343
La Tc Ag
1 1 2
direct
0.000 0.000 0.000
0.500 0.500 0.000
0.276 0.776 0.500
0.724 0.224 0.500
```

***

# LaTcAg
Theoretical PXRD pattern, Cu Kα (λ = 1.5418 Å). Input: a structure optimized by DFT (PBE).
Peak positions follow from Bragg's law for the DFT cell and can differ from measured ones.

Peak list (8 most intense, 10 to 90 degrees two-theta, sorted by position)
34.30°, intensity 31
35.72°, intensity 100
42.79°, intensity 11
46.56°, intensity 13
55.95°, intensity 10
59.09°, intensity 12
62.35°, intensity 19
79.22°, intensity 10

Atomic structure:
```
LaTcAg
1.0
0.000 2.614 6.340
1.951 0.000 6.340
1.951 2.614 0.000
La Tc Ag
1 1 1
direct
0.000 0.000 0.000
0.644 0.644 0.356
0.295 0.295 0.705
```

***

# La7TcAg2
Theoretical PXRD pattern, Cu Kα (λ = 1.5418 Å). Input: a structure optimized by DFT (PBE).
Peak positions follow from Bragg's law for the DFT cell and can differ from measured ones.

Peak list (8 most intense, 10 to 90 degrees two-theta, sorted by position)
29.20°, intensity 55
30.21°, intensity 73
30.55°, intensity 66
30.80°, intensity 100
31.43°, intensity 47
31.64°, intensity 36
32.10°, intensity 38
34.51°, intensity 32

Atomic structure:
```
La7TcAg2
1.0
7.914 -4.523 0.000
7.914 4.523 0.000
-6.595 0.000 8.579
La Tc Ag
14 2 4
direct
0.099 0.901 0.750
0.126 0.602 0.209
0.205 0.406 0.491
0.237 0.580 0.900
0.398 0.874 0.291
0.406 0.205 0.991
0.420 0.763 0.600
0.580 0.237 0.400
0.594 0.795 0.009
0.602 0.126 0.709
0.763 0.420 0.100
0.795 0.594 0.509
0.874 0.398 0.791
0.901 0.099 0.250
0.481 0.519 0.250
0.519 0.481 0.750
0.152 0.173 0.608
0.173 0.152 0.108
0.827 0.848 0.892
0.848 0.827 0.392
```

***

# LaAgTe
Theoretical PXRD pattern, Cu Kα (λ = 1.5418 Å). Input: a structure optimized by DFT (PBE).
Peak positions follow from Bragg's law for the DFT cell and can differ from measured ones.

Peak list (8 most intense, 10 to 90 degrees two-theta, sorted by position)
20.60°, intensity 27
21.43°, intensity 23
31.42°, intensity 88
34.15°, intensity 36
35.58°, intensity 100
48.19°, intensity 26
61.32°, intensity 25
63.90°, intensity 26

Atomic structure:
```
LaAgTe
1.0
2.523 1.457 8.759
-2.523 1.457 8.759
0.000 -2.913 8.759
La Ag Te
2 2 2
direct
0.079 0.079 0.079
0.921 0.921 0.921
0.331 0.331 0.331
0.669 0.669 0.669
0.211 0.211 0.211
0.789 0.789 0.789
```

***

# La3TlAg
Theoretical PXRD pattern, Cu Kα (λ = 1.5418 Å). Input: a structure optimized by DFT (PBE).
Peak positions follow from Bragg's law for the DFT cell and can differ from measured ones.

Peak list (8 most intense, 10 to 90 degrees two-theta, sorted by position)
25.68°, intensity 9
32.65°, intensity 100
46.85°, intensity 17
48.38°, intensity 5
58.27°, intensity 35
64.71°, intensity 4
68.41°, intensity 10
77.88°, intensity 13

Atomic structure:
```
La3TlAg
1.0
7.757 0.000 0.000
0.000 7.757 0.000
0.000 0.000 7.757
La Tl Ag
9 3 3
direct
0.000 0.000 0.000
0.267 0.267 0.267
0.267 0.267 0.733
0.267 0.733 0.267
0.267 0.733 0.733
0.733 0.267 0.267
0.733 0.267 0.733
0.733 0.733 0.267
0.733 0.733 0.733
0.000 0.000 0.500
0.000 0.500 0.000
0.500 0.000 0.000
0.000 0.500 0.500
0.500 0.000 0.500
0.500 0.500 0.000
```

***

# La2Tl2Ag
Theoretical PXRD pattern, Cu Kα (λ = 1.5418 Å). Input: a structure optimized by DFT (PBE).
Peak positions follow from Bragg's law for the DFT cell and can differ from measured ones.

Peak list (8 most intense, 10 to 90 degrees two-theta, sorted by position)
29.43°, intensity 88
30.93°, intensity 42
32.78°, intensity 53
34.21°, intensity 29
35.72°, intensity 100
36.70°, intensity 56
48.74°, intensity 24
61.47°, intensity 28

Atomic structure:
```
La2Tl2Ag
1.0
5.793 -2.449 0.000
5.793 2.449 0.000
-5.150 0.000 10.485
La Tl Ag
4 4 2
direct
0.024 0.024 0.339
0.175 0.175 0.106
0.825 0.825 0.894
0.976 0.976 0.661
0.355 0.355 0.428
0.464 0.464 0.118
0.536 0.536 0.882
0.645 0.645 0.572
0.281 0.281 0.662
0.719 0.719 0.338
```